Starting from a PBE-relaxed structure, the PXRD pattern of Ba6CaNb2IrCl2O12 was simulated for Cu Kα (λ = 1.5418 Å).
No peak broadening, texture or thermal motion is included.

Principal peaks in the range 15° ≤ 2θ ≤ 90°, by intensity:
2θ (°), d_spacing, I_rel
30.3, 2.947, 100
30.0, 2.979, 87
28.8, 3.103, 63
25.9, 3.434, 48
30.7, 2.913, 41
43.7, 2.070, 34
29.0, 3.079, 29
17.4, 5.084, 29
18.2, 4.864, 29
34.4, 2.607, 28
17.6, 5.047, 24
39.8, 2.263, 24

Structure:
abc: 5.958 6.219 15.823
angles: 97.68 90.75 118.50
Fractional positions:
1 Ba 0.000 0.000 0.000
2 Ba 0.028 0.048 0.254
3 Ba 0.165 0.293 0.662
4 Ba 0.335 0.671 0.120
5 Ba 0.458 0.896 0.521
6 Ba 0.524 0.990 0.765
7 Ca 0.287 0.574 0.902
8 Nb 0.655 0.311 0.078
9 Nb 0.840 0.642 0.699
10 Ir 0.733 0.477 0.891
11 Cl 0.060 0.104 0.461
12 Cl 0.429 0.842 0.316
13 O 0.126 0.710 0.634
14 O 0.364 0.210 0.143
15 O 0.471 0.417 0.985
16 O 0.483 0.960 0.998
17 O 0.541 0.534 0.799
18 O 0.618 0.716 0.633
19 O 0.632 0.265 0.646
20 O 0.838 0.670 0.130
21 O 0.873 0.225 0.140
22 O 0.937 0.419 0.981
23 O 0.983 0.510 0.795
24 O 0.997 0.966 0.772